Entry 1:
Simulated X-ray diffraction stick pattern
Compound: TmPb2Cl2O2
Radiation: Cu Kα
Structure: the PBE geometry in OQMD
Peak positions follow from Bragg's law for the DFT cell and can differ from measured ones.

Principal peaks in the range 2θ from 5° to 70°, sorted by position:
index, 2θ (°), d_spacing, I_rel
2 0 -1, 14.30, 6.195, 33
2 0 -2, 22.66, 3.924, 36
1 1 0, 24.22, 3.675, 45
2 0 1, 28.44, 3.138, 80
3 1 -1, 30.91, 2.893, 100
1 1 -2, 33.34, 2.687, 79
4 0 -3, 35.51, 2.528, 25
5 1 -3, 45.38, 1.998, 29
5 1 0, 50.25, 1.816, 25
1 1 3, 55.10, 1.667, 48

Structural model:
Cell lengths 12.828, 3.938, 7.848 Å; angles 90.00, 127.11, 90.00 degrees
Space group C2/m (No. 12)
Asymmetric unit:
Tm 0.000 0.000 0.000 (multiplicity 2)
Pb 0.179 0.000 0.604 (multiplicity 4)
Cl 0.080 0.500 0.869 (multiplicity 4)
O 0.188 0.000 0.310 (multiplicity 4)

=====

Entry 2:
Simulated X-ray diffraction stick pattern
Compound: PmSmCl2O2
Radiation: Cu Kα
Structure: the PBE geometry in OQMD
Peak positions follow from Bragg's law for the DFT cell and can differ from measured ones.

Principal peaks in the range 2θ from 5° to 70°, sorted by position:
index, 2θ (°), d_spacing, I_rel
0 0 1, 13.16, 6.729, 37
1 0 1, 25.90, 3.440, 96
1 1 0, 31.61, 2.830, 74
1 0 2, 34.83, 2.575, 100
1 1 2, 41.70, 2.166, 25
2 0 0, 45.31, 2.001, 38
1 1 3, 52.02, 1.758, 24
2 1 1, 52.93, 1.730, 29
2 1 2, 58.40, 1.580, 43
1 0 4, 59.62, 1.551, 17

Structural model:
Cell lengths 4.003, 4.003, 6.729 Å; angles 90.00, 90.00, 90.00 degrees
Space group P4mm (No. 99)
Asymmetric unit:
Pm 0.000 0.000 0.000 (multiplicity 1)
Sm 0.500 0.500 0.347 (multiplicity 1)
Cl 0.000 0.000 0.547 (multiplicity 1)
Cl 0.500 0.500 0.801 (multiplicity 1)
O 0.000 0.500 0.176 (multiplicity 2)

=====

Entry 3:
Simulated X-ray diffraction stick pattern
Compound: PrSmClO3
Radiation: Cu Kα
Structure: the PBE geometry in OQMD
Peak positions follow from Bragg's law for the DFT cell and can differ from measured ones.

Principal peaks in the range 2θ from 5° to 70°, sorted by position:
index, 2θ (°), d_spacing, I_rel
2 0 1, 22.58, 3.938, 59
1 1 -1, 23.31, 3.817, 100
2 0 -3, 26.41, 3.374, 43
4 0 -2, 30.62, 2.920, 63
3 1 -1, 31.18, 2.869, 95
1 1 2, 32.29, 2.772, 39
1 1 -3, 34.10, 2.629, 40
4 0 -4, 39.00, 2.310, 43
0 2 0, 43.17, 2.096, 35
5 1 0, 47.86, 1.901, 35

Structural model:
Cell lengths 11.821, 4.191, 10.255 Å; angles 90.00, 115.63, 90.00 degrees
Space group C2/m (No. 12)
Asymmetric unit:
Pr 0.100 0.000 0.399 (multiplicity 4)
Sm 0.213 0.500 0.183 (multiplicity 4)
Cl 0.110 0.500 0.875 (multiplicity 4)
O 0.102 0.000 0.632 (multiplicity 4)
O 0.141 0.000 0.188 (multiplicity 4)
O 0.184 0.500 0.396 (multiplicity 4)

=====

Entry 4:
Simulated X-ray diffraction stick pattern
Compound: Pt3Se2Cl2O6
Radiation: Cu Kα
Structure: the PBE geometry in OQMD
Peak positions follow from Bragg's law for the DFT cell and can differ from measured ones.

Principal peaks in the range 2θ from 5° to 70°, sorted by position:
index, 2θ (°), d_spacing, I_rel
0 0 1, 11.50, 7.695, 40
2 0 0, 20.34, 4.365, 66
0 0 2, 23.12, 3.847, 28
2 0 1, 25.71, 3.465, 41
1 1 -2, 27.09, 3.291, 43
0 2 0, 28.52, 3.129, 71
1 1 2, 30.99, 2.886, 40
3 1 -2, 37.02, 2.428, 100
2 2 1, 38.77, 2.322, 23
3 3 -2, 56.25, 1.636, 33

Structural model:
Cell lengths 8.978, 6.258, 7.913 Å; angles 90.00, 103.49, 90.00 degrees
Space group C2/m (No. 12)
Asymmetric unit:
Pt 0.000 0.000 0.000 (multiplicity 2)
Pt 0.009 0.500 0.780 (multiplicity 4)
Se 0.145 0.000 0.707 (multiplicity 4)
Cl 0.202 0.500 0.644 (multiplicity 4)
O 0.012 0.182 0.789 (multiplicity 8)
O 0.194 0.500 0.128 (multiplicity 4)

=====

Entry 5:
Simulated X-ray diffraction stick pattern
Compound: RbZnSClO4
Radiation: Cu Kα
Structure: the PBE geometry in OQMD
Peak positions follow from Bragg's law for the DFT cell and can differ from measured ones.

Principal peaks in the range 2θ from 5° to 70°, sorted by position:
index, 2θ (°), d_spacing, I_rel
1 0 0, 12.44, 7.113, 30
1 2 -1, 24.31, 3.662, 88
1 1 2, 27.67, 3.224, 100
2 1 -1, 27.94, 3.193, 73
0 2 2, 28.56, 3.125, 86
2 1 1, 29.79, 2.999, 35
0 3 1, 29.94, 2.985, 39
1 3 0, 30.61, 2.921, 56
0 1 3, 33.98, 2.638, 32
2 0 -4, 49.00, 1.859, 26

Structural model:
Cell lengths 7.146, 9.609, 8.268 Å; angles 90.00, 95.50, 90.00 degrees
Space group P2_1/c (No. 14)
Asymmetric unit:
Rb 0.138 0.082 0.297 (multiplicity 4)
Zn 0.399 0.697 0.461 (multiplicity 4)
S 0.391 0.069 0.731 (multiplicity 4)
Cl 0.114 0.682 0.536 (multiplicity 4)
O 0.205 0.062 0.644 (multiplicity 4)
O 0.383 0.161 0.877 (multiplicity 4)
O 0.464 0.621 0.873 (multiplicity 4)
O 0.465 0.572 0.284 (multiplicity 4)

=====

Entry 6:
Simulated X-ray diffraction stick pattern
Compound: Re2Cl7O3
Radiation: Cu Kα
Structure: the PBE geometry in OQMD
Peak positions follow from Bragg's law for the DFT cell and can differ from measured ones.

Principal peaks in the range 2θ from 5° to 70°, sorted by position:
index, 2θ (°), d_spacing, I_rel
0 1 2, 13.55, 6.535, 49
1 0 0, 14.80, 5.984, 100
1 1 0, 16.88, 5.253, 31
0 2 1, 17.06, 5.197, 28
0 1 3, 18.25, 4.862, 77
1 1 -3, 20.39, 4.356, 75
1 2 -1, 21.61, 4.113, 73
1 1 2, 22.32, 3.983, 29
2 2 -2, 33.14, 2.703, 42
1 2 4, 34.14, 2.626, 30

Structural model:
Cell lengths 6.241, 10.968, 16.974 Å; angles 90.00, 106.52, 90.00 degrees
Space group P2_1/c (No. 14)
Asymmetric unit:
Re 0.021 0.085 0.190 (multiplicity 4)
Re 0.166 0.161 0.532 (multiplicity 4)
Cl 0.107 0.724 0.079 (multiplicity 4)
Cl 0.171 0.525 0.946 (multiplicity 4)
Cl 0.205 0.524 0.435 (multiplicity 4)
Cl 0.245 0.727 0.305 (multiplicity 4)
Cl 0.276 0.207 0.282 (multiplicity 4)
Cl 0.319 0.504 0.658 (multiplicity 4)
Cl 0.369 0.039 0.635 (multiplicity 4)
O 0.033 0.024 0.747 (multiplicity 4)
O 0.101 0.235 0.099 (multiplicity 4)
O 0.386 0.223 0.505 (multiplicity 4)